1.
# MgPt2
Simulated powder X-ray diffraction pattern, Cu Kα. Input: a PBE-relaxed structure.
No peak broadening, texture or thermal motion is included.

Most intense lines, 2θ = 5–70°, low angle first:
(2 0 0), 18.1°, rel. 45; (0 0 2), 27.2°, rel. 18; (1 1 0), 32.7°, rel. 30; (1 1 1), 36.5°, rel. 39; (2 0 2), 37.0°, rel. 17; (4 0 -2), 39.1°, rel. 52; (0 0 3), 41.3°, rel. 100; (3 1 0), 42.0°, rel. 68; (4 0 1), 42.8°, rel. 28; (3 1 3), 66.4°, rel. 22

Structure:
a b c (Å): 10.2430 2.8552 6.8360
angles (deg): 90.00 106.48 90.00
Space group C2/m (No. 12)
Symmetry-distinct sites (fractional):
Mg  0.0301  0.0000  0.2955 x4
Pt  0.1386  0.5000  0.0189 x4
Pt  0.1886  0.5000  0.6317 x4

2.
# K2Zn6O7
Simulated powder X-ray diffraction pattern, Cu Kα. Input: a PBE-relaxed structure.
No peak broadening, texture or thermal motion is included.

Most intense lines, 2θ = 5–70°, low angle first:
(2 1 0), 17.9°, rel. 22; (4 0 0), 32.4°, rel. 38; (4 1 0), 33.4°, rel. 14; (3 3 0), 34.4°, rel. 14; (2 2 1), 35.2°, rel. 100; (4 4 0), 46.4°, rel. 12; (0 0 2), 54.7°, rel. 12; (6 1 1), 57.6°, rel. 12; (6 2 1), 59.6°, rel. 14; (6 3 1), 62.7°, rel. 14

Structure:
a b c (Å): 11.0691 11.0691 3.3567
angles (deg): 90.00 90.00 90.00
Space group P4_2nm (No. 102)
Symmetry-distinct sites (fractional):
K  0.1445  0.1445  0.0000 x4
Zn  0.0840  0.6538  0.9847 x8
Zn  0.1191  0.8809  0.4819 x4
O  0.0000  0.0000  0.5549 x2
O  0.0083  0.3130  0.4848 x8
O  0.1898  0.8102  0.9887 x4

3.
# La2Sn3Pb3S12
Simulated powder X-ray diffraction pattern, Cu Kα. Input: a PBE-relaxed structure.
No peak broadening, texture or thermal motion is included.

Most intense lines, 2θ = 5–70°, low angle first:
(0 2 2), 17.3°, rel. 32; (0 4 2), 22.9°, rel. 34; (0 6 0), 25.8°, rel. 46; (0 3 3), 26.1°, rel. 72; (1 3 1), 26.7°, rel. 100; (1 0 2), 26.8°, rel. 67; (1 4 2), 32.0°, rel. 99; (1 1 3), 32.2°, rel. 44; (1 6 2), 37.6°, rel. 45; (2 0 0), 45.0°, rel. 39

Structure:
a b c (Å): 4.0256 20.7096 11.7665
angles (deg): 90.00 90.00 90.00
Space group Pmc2_1 (No. 26)
Symmetry-distinct sites (fractional):
La  0.0000  0.0875  0.0000 x2
La  0.0000  0.3948  0.6710 x2
Sn  0.5000  0.0770  0.3416 x2
Sn  0.5000  0.2498  0.8480 x2
Sn  0.5000  0.4114  0.3645 x2
Pb  0.0000  0.1230  0.6182 x2
Pb  0.0000  0.2433  0.2505 x2
Pb  0.0000  0.4126  0.0443 x2
S  0.0000  0.0139  0.2802 x2
S  0.0000  0.2434  0.9904 x2
S  0.0000  0.2549  0.6979 x2
S  0.0000  0.3406  0.4422 x2
S  0.0000  0.4809  0.2883 x2
S  0.5000  0.0144  0.5308 x2
S  0.5000  0.1274  0.8259 x2
S  0.5000  0.1438  0.1568 x2
S  0.5000  0.1776  0.4492 x2
S  0.5000  0.3428  0.1845 x2
S  0.5000  0.3742  0.8461 x2
S  0.5000  0.4727  0.5540 x2

4.
# Dy2Mn9Cr3Ge12
Simulated powder X-ray diffraction pattern, Cu Kα. Input: a PBE-relaxed structure.
No peak broadening, texture or thermal motion is included.

Most intense lines, 2θ = 5–70°, low angle first:
(1 0 -2), 34.9°, rel. 51; (2 0 -1), 35.0°, rel. 25; (1 6 0), 38.6°, rel. 43; (0 0 2), 40.5°, rel. 32; (2 0 -2), 40.7°, rel. 16; (2 4 -1), 41.5°, rel. 100; (0 8 0), 44.0°, rel. 24; (2 4 0), 46.4°, rel. 24; (1 6 -2), 48.6°, rel. 22; (0 4 3), 67.1°, rel. 15

Structure:
a b c (Å): 5.1282 16.4520 5.1297
angles (deg): 90.00 119.82 90.00
Space group P2 (No. 3)
Symmetry-distinct sites (fractional):
Dy  0.0000  0.0000  0.0000 x1
Dy  0.0000  0.4994  0.0000 x1
Mn  0.0000  0.1244  0.5000 x1
Mn  0.0000  0.3739  0.5000 x1
Mn  0.0000  0.6252  0.5000 x1
Mn  0.0000  0.8739  0.5000 x1
Mn  0.5000  0.1246  0.0000 x1
Mn  0.5000  0.1252  0.5000 x1
Mn  0.5000  0.3740  0.5000 x1
Mn  0.5000  0.6239  0.5000 x1
Mn  0.5000  0.6248  0.0000 x1
Cr  0.5000  0.3745  0.0000 x1
Cr  0.5000  0.8742  0.0000 x1
Cr  0.5000  0.8743  0.5000 x1
Ge  0.0000  0.1728  0.0000 x1
Ge  0.0000  0.3265  0.0000 x1
Ge  0.0000  0.6723  0.0000 x1
Ge  0.0000  0.8262  0.0000 x1
Ge  0.3321  0.7479  0.6647 x2
Ge  0.3333  0.0011  0.6665 x2
Ge  0.3329  0.2482  0.6673 x2
Ge  0.3331  0.5002  0.6665 x2

5.
# Zr3Te
Simulated powder X-ray diffraction pattern, Cu Kα. Input: a PBE-relaxed structure.
No peak broadening, texture or thermal motion is included.

Most intense lines, 2θ = 5–70°, low angle first:
(2 1 1), 23.4°, rel. 18; (3 2 1), 32.4°, rel. 75; (3 3 0), 33.3°, rel. 45; (1 1 2), 33.4°, rel. 51; (2 4 0), 35.2°, rel. 38; (4 1 1), 36.1°, rel. 100; (2 2 2), 38.8°, rel. 56; (5 1 0), 40.4°, rel. 67; (4 3 1), 42.7°, rel. 21; (1 7 2), 66.7°, rel. 25

Structure:
a b c (Å): 11.4091 11.4091 5.6837
angles (deg): 90.00 90.00 90.00
Space group I-4 (No. 82)
Symmetry-distinct sites (fractional):
Zr  0.0187  0.3580  0.4765 x8
Zr  0.0822  0.8968  0.2893 x8
Zr  0.1866  0.7829  0.7353 x8
Te  0.0318  0.2883  0.9763 x8

6.
# ThSi2Rh2
Simulated powder X-ray diffraction pattern, Cu Kα. Input: a PBE-relaxed structure.
No peak broadening, texture or thermal motion is included.

Most intense lines, 2θ = 5–70°, low angle first:
(1 0 1), 23.3°, rel. 48; (1 0 3), 34.2°, rel. 39; (0 0 4), 35.3°, rel. 19; (1 1 2), 35.5°, rel. 100; (2 0 0), 43.9°, rel. 35; (1 0 5), 49.9°, rel. 14; (2 1 1), 50.3°, rel. 13; (2 1 3), 56.8°, rel. 19; (2 0 4), 57.5°, rel. 19; (1 1 6), 63.4°, rel. 18

Structure:
a b c (Å): 4.1236 4.1236 10.1833
angles (deg): 90.00 90.00 90.00
Space group I4/mmm (No. 139)
Symmetry-distinct sites (fractional):
Th  0.0000  0.0000  0.0000 x2
Si  0.0000  0.0000  0.3790 x4
Rh  0.0000  0.5000  0.2500 x4

7.
# MgS2O9
Simulated powder X-ray diffraction pattern, Cu Kα. Input: a PBE-relaxed structure.
No peak broadening, texture or thermal motion is included.

Most intense lines, 2θ = 5–70°, low angle first:
(2 0 0), 21.5°, rel. 25; (1 2 1), 22.1°, rel. 100; (2 2 0), 25.8°, rel. 64; (0 4 0), 28.4°, rel. 40; (1 0 2), 28.5°, rel. 27; (1 1 2), 29.4°, rel. 99; (2 3 0), 30.4°, rel. 34; (2 0 2), 34.3°, rel. 57; (2 1 2), 35.0°, rel. 25; (3 1 1), 35.9°, rel. 38

Structure:
a b c (Å): 8.2746 12.5733 6.7618
angles (deg): 90.00 90.00 90.00
Space group Pnma (No. 62)
Symmetry-distinct sites (fractional):
Mg  0.0000  0.0000  0.0000 x4
S  0.0025  0.2500  0.4410 x4
S  0.1156  0.2500  0.8145 x4
O  0.0390  0.1517  0.8948 x8
O  0.0829  0.6506  0.5281 x8
O  0.1340  0.2500  0.3002 x4
O  0.1893  0.5052  0.2458 x8
O  0.2175  0.5538  0.8484 x8

8.
# HoMg3
Simulated powder X-ray diffraction pattern, Cu Kα. Input: a PBE-relaxed structure.
No peak broadening, texture or thermal motion is included.

Most intense lines, 2θ = 5–70°, low angle first:
(1 1 1), 21.1°, rel. 75; (2 0 0), 24.4°, rel. 40; (2 2 0), 34.7°, rel. 100; (3 1 1), 41.0°, rel. 41; (2 2 2), 42.9°, rel. 12; (4 0 0), 49.9°, rel. 18; (3 3 1), 54.8°, rel. 18; (4 2 0), 56.3°, rel. 17; (4 2 2), 62.2°, rel. 36; (5 1 1), 66.5°, rel. 13

Structure:
a b c (Å): 7.3066 7.3066 7.3066
angles (deg): 90.00 90.00 90.00
Space group Fm-3m (No. 225)
Symmetry-distinct sites (fractional):
Ho  0.0000  0.0000  0.0000 x4
Mg  0.0000  0.0000  0.5000 x4
Mg  0.2500  0.2500  0.2500 x8

9.
# PtBr3
Simulated powder X-ray diffraction pattern, Cu Kα. Input: a PBE-relaxed structure.
No peak broadening, texture or thermal motion is included.

Most intense lines, 2θ = 5–70°, low angle first:
(0 2 1), 13.0°, rel. 22; (3 0 0), 13.2°, rel. 55; (1 3 1), 18.6°, rel. 21; (4 0 1), 20.1°, rel. 19; (4 1 0), 20.3°, rel. 12; (7 -4 2), 33.3°, rel. 100; (1 10 0), 47.7°, rel. 32; (4 3 4), 48.0°, rel. 33; (8 6 2), 59.4°, rel. 15; (14 -8 4), 69.9°, rel. 9

Structure:
a b c (Å): 23.2024 23.2024 9.2687
angles (deg): 90.00 90.00 120.00
Space group R-3 (No. 148, hexagonal axes)
Symmetry-distinct sites (fractional):
Pt  0.0070  0.0925  0.1575 x18
Pt  0.0263  0.2994  0.4981 x18
Br  0.0069  0.0905  0.6928 x18
Br  0.0203  0.2041  0.3528 x18
Br  0.0271  0.3912  0.6625 x18
Br  0.0328  0.4813  0.3142 x18
Br  0.0498  0.6038  0.0003 x18
Br  0.0768  0.9028  0.9996 x18

10.
# Mg2PbN2
Simulated powder X-ray diffraction pattern, Cu Kα. Input: a PBE-relaxed structure.
No peak broadening, texture or thermal motion is included.

Most intense lines, 2θ = 5–70°, low angle first:
(0 0 1), 13.5°, rel. 59; (0 0 2), 27.2°, rel. 14; (1 0 0), 28.4°, rel. 34; (0 1 1), 31.6°, rel. 100; (1 0 2), 39.7°, rel. 53; (1 1 0), 50.3°, rel. 21; (0 1 3), 50.8°, rel. 17; (2 0 1), 60.6°, rel. 16; (1 0 4), 64.0°, rel. 14; (1 1 3), 67.0°, rel. 16

Structure:
a b c (Å): 3.6269 3.6269 6.5659
angles (deg): 90.00 90.00 120.00
Space group P-3m1 (No. 164)
Symmetry-distinct sites (fractional):
Mg  0.3333  0.6667  0.3612 x2
Pb  0.0000  0.0000  0.0000 x1
N  0.3333  0.6667  0.7025 x2